For Nd2PuTaN4, a structure optimized by DFT (PBE) gives the theoretical powder diffractogram in this record (λ = 1.5418 Å (Cu Kα)).

Cell and atoms:
a b c (Å): 6.775 7.000 9.690
angles (deg): 90.00 90.00 90.00
Space group Imma (No. 74)
Symmetry-distinct sites (fractional):
Nd1 0.000 0.000 0.000 x4
Nd2 0.250 0.250 0.250 x4
Pu1 0.000 0.000 0.500 x4
Ta1 0.250 0.250 0.750 x4
N1 0.000 0.038 0.743 x8
N2 0.234 0.250 0.524 x8

The 10 most intense peaks (2θ = 10–90°), in order of rising 2θ:
| two_theta | d (Å) | I/Imax | h k l |
| --- | --- | --- | --- |
| 31.53 | 2.837 | 1000 | 0 2 2 |
| 32.24 | 2.776 | 937 | 2 0 2 |
| 36.93 | 2.434 | 880 | 2 2 0 |
| 37.11 | 2.422 | 432 | 0 0 4 |
| 52.27 | 1.750 | 158 | 0 4 0 |
| 53.36 | 1.717 | 599 | 2 2 4 |
| 62.76 | 1.480 | 304 | 2 4 2 |
| 63.43 | 1.466 | 148 | 0 2 6 |
| 64.02 | 1.454 | 283 | 4 2 2 |
| 65.84 | 1.419 | 156 | 0 4 4 |